Entry 1:
Structure and simulated XRD peak list of TiCu2Cl8 (a cell relaxed with PBE; λ = 1.5418 Å (Cu Kα)).
Intensities are scaled so that the largest is 100.

Crystal structure
```
data_TiCu2Cl8
_cell_length_a 6.967
_cell_length_b 6.967
_cell_length_c 9.947
_cell_angle_alpha 116.94
_cell_angle_beta 116.94
_cell_angle_gamma 61.49
_symmetry_space_group_name_H-M 'P 1'
_symmetry_Int_Tables_number 1
_symmetry_space_group_name_Hall 'P 1'
loop_
_atom_site_label
_atom_site_type_symbol
_atom_site_fract_x
_atom_site_fract_y
_atom_site_fract_z
Ti1 Ti 0.000 0.000 0.000
Cu1 Cu 0.217 0.217 0.313
Cu2 Cu 0.783 0.783 0.687
Cl1 Cl 0.003 0.003 0.763
Cl2 Cl 0.064 0.603 0.882
Cl3 Cl 0.389 0.389 0.539
Cl4 Cl 0.397 0.936 0.118
Cl5 Cl 0.603 0.064 0.882
Cl6 Cl 0.611 0.611 0.461
Cl7 Cl 0.936 0.397 0.118
Cl8 Cl 0.997 0.997 0.237
```

Main lines, most intense first (10° ≤ 2θ ≤ 90°):
- 15.6 deg, intensity 100.0
- 14.9 deg, intensity 37.7
- 15.2 deg, intensity 22.0
- 21.9 deg, intensity 20.0
- 40.8 deg, intensity 15.8
- 27.2 deg, intensity 15.4
- 26.6 deg, intensity 15.3
- 41.6 deg, intensity 11.8
- 51.3 deg, intensity 11.1
- 25.0 deg, intensity 11.1

=====

Entry 2:
Structure and simulated XRD peak list of Tl4Cu3Cl10 (a cell relaxed with PBE; λ = 1.5418 Å (Cu Kα)).
Intensities are scaled so that the largest is 100.

Crystal structure
```
data_Tl4Cu3Cl10
_cell_length_a 17.853
_cell_length_b 17.853
_cell_length_c 17.853
_cell_angle_alpha 164.21
_cell_angle_beta 164.21
_cell_angle_gamma 22.40
_symmetry_space_group_name_H-M 'P 1'
_symmetry_Int_Tables_number 1
_symmetry_space_group_name_Hall 'P 1'
loop_
_atom_site_label
_atom_site_type_symbol
_atom_site_fract_x
_atom_site_fract_y
_atom_site_fract_z
Tl1 Tl 0.068 0.068 0.000
Tl2 Tl 0.200 0.200 0.000
Tl3 Tl 0.800 0.800 0.000
Tl4 Tl 0.932 0.932 0.000
Cu1 Cu 0.361 0.361 0.000
Cu2 Cu 0.500 0.500 0.000
Cu3 Cu 0.639 0.639 0.000
Cl1 Cl 0.000 0.500 0.500
Cl2 Cl 0.138 0.638 0.500
Cl3 Cl 0.294 0.294 0.000
Cl4 Cl 0.362 0.862 0.500
Cl5 Cl 0.430 0.430 0.000
Cl6 Cl 0.500 0.000 0.500
Cl7 Cl 0.570 0.570 0.000
Cl8 Cl 0.638 0.138 0.500
Cl9 Cl 0.706 0.706 0.000
Cl10 Cl 0.862 0.362 0.500
```

Main lines, most intense first (10° ≤ 2θ ≤ 90°):
- 25.4 deg, intensity 100.0
- 25.7 deg, intensity 68.5
- 36.6 deg, intensity 58.3
- 32.9 deg, intensity 57.0
- 45.1 deg, intensity 46.0
- 52.2 deg, intensity 23.7
- 52.8 deg, intensity 19.7
- 18.3 deg, intensity 18.7
- 35.9 deg, intensity 17.8
- 63.7 deg, intensity 16.5

=====

Entry 3:
Structure and simulated XRD peak list of Tl2Cu3Cl6 (a cell relaxed with PBE; λ = 1.5418 Å (Cu Kα)).
Intensities are scaled so that the largest is 100.

Crystal structure
```
data_Tl2Cu3Cl6
_cell_length_a 6.747
_cell_length_b 6.747
_cell_length_c 7.673
_cell_angle_alpha 93.86
_cell_angle_beta 93.86
_cell_angle_gamma 61.46
_symmetry_space_group_name_H-M 'P 1'
_symmetry_Int_Tables_number 1
_symmetry_space_group_name_Hall 'P 1'
loop_
_atom_site_label
_atom_site_type_symbol
_atom_site_fract_x
_atom_site_fract_y
_atom_site_fract_z
Tl1 Tl 0.156 0.156 0.225
Tl2 Tl 0.844 0.844 0.775
Cu1 Cu 0.451 0.451 0.350
Cu2 Cu 0.500 0.500 0.000
Cu3 Cu 0.549 0.549 0.650
Cl1 Cl 0.157 0.639 0.142
Cl2 Cl 0.347 0.347 0.593
Cl3 Cl 0.361 0.843 0.858
Cl4 Cl 0.639 0.157 0.142
Cl5 Cl 0.653 0.653 0.407
Cl6 Cl 0.843 0.361 0.858
```

Main lines, most intense first (10° ≤ 2θ ≤ 90°):
- 18.6 deg, intensity 100.0
- 26.5 deg, intensity 48.1
- 37.9 deg, intensity 34.7
- 25.8 deg, intensity 33.2
- 19.3 deg, intensity 30.2
- 32.9 deg, intensity 27.6
- 28.3 deg, intensity 26.4
- 32.0 deg, intensity 23.8
- 46.1 deg, intensity 19.7
- 23.3 deg, intensity 18.9

=====

Entry 4:
Structure and simulated XRD peak list of Tl4Cu3Cl12 (a cell relaxed with PBE; λ = 1.5418 Å (Cu Kα)).
Intensities are scaled so that the largest is 100.

Crystal structure
```
data_Tl4Cu3Cl12
_cell_length_a 9.341
_cell_length_b 9.341
_cell_length_c 9.341
_cell_angle_alpha 109.47
_cell_angle_beta 109.47
_cell_angle_gamma 109.47
_symmetry_space_group_name_H-M 'P 1'
_symmetry_Int_Tables_number 1
_symmetry_space_group_name_Hall 'P 1'
loop_
_atom_site_label
_atom_site_type_symbol
_atom_site_fract_x
_atom_site_fract_y
_atom_site_fract_z
Tl1 Tl 0.000 0.000 0.500
Tl2 Tl 0.000 0.500 0.000
Tl3 Tl 0.500 0.000 0.000
Tl4 Tl 0.500 0.500 0.500
Cu1 Cu 0.000 0.500 0.500
Cu2 Cu 0.500 0.000 0.500
Cu3 Cu 0.500 0.500 0.000
Cl1 Cl 0.146 0.499 0.353
Cl2 Cl 0.146 0.794 0.647
Cl3 Cl 0.206 0.353 0.854
Cl4 Cl 0.353 0.146 0.499
Cl5 Cl 0.353 0.854 0.206
Cl6 Cl 0.499 0.353 0.146
Cl7 Cl 0.501 0.647 0.854
Cl8 Cl 0.647 0.146 0.794
Cl9 Cl 0.647 0.854 0.501
Cl10 Cl 0.794 0.647 0.146
Cl11 Cl 0.854 0.206 0.353
Cl12 Cl 0.854 0.501 0.647
```

Main lines, most intense first (10° ≤ 2θ ≤ 90°):
- 23.3 deg, intensity 100.0
- 41.0 deg, intensity 61.9
- 37.3 deg, intensity 35.3
- 16.4 deg, intensity 33.5
- 53.7 deg, intensity 26.1
- 64.7 deg, intensity 23.9
- 33.2 deg, intensity 19.2
- 74.7 deg, intensity 15.9
- 28.7 deg, intensity 14.0
- 47.7 deg, intensity 13.2